No. 1
YUB12: computed XRD peak list (Cu Kα (weighted mean of Kα1 and Kα2)), based on a DFT-relaxed cell (GGA-PBE, Alexandria).
Kinematic intensities with the Lorentz-polarization factor, no thermal factor.

Atomic structure:
Unit cell a=4.085 b=4.085 c=8.182 alpha=90.00 beta=90.00 gamma=90.00
Sites, in units of the cell vectors:
Y1 0.000 0.000 0.000
U1 0.000 0.000 0.500
B1 0.198 0.500 0.250
B2 0.198 0.500 0.750
B3 0.500 0.198 0.250
B4 0.500 0.198 0.750
B5 0.500 0.500 0.099
B6 0.500 0.500 0.401
B7 0.500 0.500 0.599
B8 0.500 0.500 0.901
B9 0.500 0.802 0.250
B10 0.500 0.802 0.750
B11 0.802 0.500 0.250
B12 0.802 0.500 0.750

Main lines, by intensity (2θ = 10–90°):
- d = 2.890 Å, 30.9 deg, rel. 100
- d = 4.087 Å, 21.7 deg, rel. 69
- d = 1.828 Å, 49.9 deg, rel. 51
- d = 2.360 Å, 38.1 deg, rel. 42
- d = 8.182 Å, 10.8 deg, rel. 29
- d = 1.669 Å, 55.0 deg, rel. 29
- d = 1.362 Å, 68.9 deg, rel. 27
- d = 2.044 Å, 44.3 deg, rel. 21
- d = 1.092 Å, 89.8 deg, rel. 20
- d = 3.655 Å, 24.4 deg, rel. 20

No. 2
LiZn2AgAu: computed XRD peak list (Cu Kα (weighted mean of Kα1 and Kα2)), based on a DFT-relaxed cell (GGA-PBE, Alexandria).
Kinematic intensities with the Lorentz-polarization factor, no thermal factor.

Atomic structure:
Unit cell a=6.997 b=6.997 c=5.540 alpha=100.74 beta=100.74 gamma=37.05
Sites, in units of the cell vectors:
Li1 0.107 0.107 0.447
Li2 0.893 0.893 0.553
Zn1 0.103 0.103 0.955
Zn2 0.306 0.306 0.330
Zn3 0.694 0.694 0.670
Zn4 0.897 0.897 0.045
Ag1 0.497 0.497 0.250
Ag2 0.503 0.503 0.750
Au1 0.296 0.296 0.814
Au2 0.704 0.704 0.186

Main lines, by intensity (2θ = 10–90°):
- d = 2.220 Å, 40.6 deg, rel. 100
- d = 2.246 Å, 40.2 deg, rel. 73
- d = 2.321 Å, 38.8 deg, rel. 37
- d = 4.207 Å, 21.1 deg, rel. 33
- d = 3.228 Å, 27.6 deg, rel. 26
- d = 1.606 Å, 57.4 deg, rel. 23
- d = 5.431 Å, 16.3 deg, rel. 18
- d = 6.505 Å, 13.6 deg, rel. 17
- d = 2.716 Å, 33.0 deg, rel. 15
- d = 1.331 Å, 70.8 deg, rel. 15

No. 3
TaTi: computed XRD peak list (Cu Kα (weighted mean of Kα1 and Kα2)), based on a DFT-relaxed cell (GGA-PBE, Alexandria).
Kinematic intensities with the Lorentz-polarization factor, no thermal factor.

Atomic structure:
Unit cell a=2.841 b=2.841 c=4.648 alpha=90.00 beta=90.00 gamma=109.87
Sites, in units of the cell vectors:
Ta1 0.000 0.000 0.000
Ti1 0.500 0.500 0.500

Main lines, by intensity (2θ = 10–90°):
- d = 2.316 Å, 38.9 deg, rel. 100
- d = 2.325 Å, 38.7 deg, rel. 51
- d = 4.648 Å, 19.1 deg, rel. 48
- d = 1.341 Å, 70.2 deg, rel. 34
- d = 2.672 Å, 33.5 deg, rel. 25
- d = 1.644 Å, 55.9 deg, rel. 17
- d = 1.336 Å, 70.5 deg, rel. 17
- d = 1.754 Å, 52.2 deg, rel. 15
- d = 2.080 Å, 43.5 deg, rel. 13
- d = 1.158 Å, 83.5 deg, rel. 11

No. 4
Y2Cd16In: computed XRD peak list (Cu Kα (weighted mean of Kα1 and Kα2)), based on a DFT-relaxed cell (GGA-PBE, Alexandria).
Kinematic intensities with the Lorentz-polarization factor, no thermal factor.

Atomic structure:
Unit cell a=7.669 b=7.669 c=7.669 alpha=82.73 beta=82.73 gamma=82.73
Sites, in units of the cell vectors:
Y1 0.000 0.000 0.000
Y2 0.345 0.345 0.345
Cd1 0.045 0.045 0.448
Cd2 0.045 0.448 0.045
Cd3 0.137 0.696 0.696
Cd4 0.329 0.329 0.795
Cd5 0.329 0.795 0.329
Cd6 0.360 0.666 0.982
Cd7 0.360 0.982 0.666
Cd8 0.448 0.045 0.045
Cd9 0.666 0.360 0.982
Cd10 0.666 0.982 0.360
Cd11 0.696 0.137 0.696
Cd12 0.696 0.696 0.137
Cd13 0.760 0.760 0.760
Cd14 0.795 0.329 0.329
Cd15 0.982 0.360 0.666
Cd16 0.982 0.666 0.360
In1 0.567 0.567 0.567

Main lines, by intensity (2θ = 10–90°):
- d = 2.520 Å, 35.6 deg, rel. 100
- d = 2.256 Å, 40.0 deg, rel. 43
- d = 2.926 Å, 30.6 deg, rel. 33
- d = 2.478 Å, 36.3 deg, rel. 32
- d = 2.534 Å, 35.4 deg, rel. 26
- d = 1.439 Å, 64.8 deg, rel. 18
- d = 2.226 Å, 40.5 deg, rel. 17
- d = 2.462 Å, 36.5 deg, rel. 16
- d = 1.463 Å, 63.6 deg, rel. 15
- d = 2.837 Å, 31.5 deg, rel. 12